(1)
Starting from a cell relaxed with PBE, the powder X-ray diffraction pattern of Ho5Er8Tm was simulated for λ = 1.5418 Å (Cu Kα).
No peak broadening, texture or thermal motion is included.

a b c (Å): 6.9851 8.4209 8.6377
angles (deg): 114.10 101.67 102.02
Fractional positions:
Ho 0.0000 0.0000 0.0000
Ho 0.0266 0.8263 0.2778
Ho 0.3857 0.4048 0.1373
Ho 0.7052 0.1151 0.7070
Ho 0.9115 0.2303 0.4139
Er 0.1089 0.5632 0.8720
Er 0.2062 0.1155 0.7079
Er 0.3031 0.6681 0.5429
Er 0.4113 0.2301 0.4137
Er 0.5257 0.8256 0.2767
Er 0.6086 0.5634 0.8718
Er 0.8029 0.6678 0.5422
Er 0.8853 0.4048 0.1369
Tm 0.5000 0.0006 0.0006

Most intense lines, 2θ from 15° to 90°, most intense first:
2theta, I_rel
32.1, 100.0
31.8, 51.2
33.5, 46.8
33.3, 45.3
30.5, 38.0
62.8, 29.4
59.3, 14.6
63.5, 14.2
52.4, 13.4
42.5, 13.0
47.1, 12.6
60.0, 10.8

(2)
Starting from a cell relaxed with PBE, the powder X-ray diffraction pattern of Ho5ErTm4 was simulated for λ = 1.5418 Å (Cu Kα).
No peak broadening, texture or thermal motion is included.

a b c (Å): 6.1866 6.6063 9.0582
angles (deg): 72.40 89.99 62.09
Fractional positions:
Ho 0.0000 0.0000 0.0000
Ho 0.0665 0.2003 0.3006
Ho 0.2661 0.8000 0.7006
Ho 0.5992 0.8001 0.2002
Ho 0.6667 0.0002 0.5010
Er 0.1994 0.5995 0.4004
Tm 0.3994 0.2001 0.8005
Tm 0.4669 0.3998 0.0995
Tm 0.7991 0.4005 0.6014
Tm 0.8665 0.6002 0.9004

Most intense lines, 2θ from 15° to 90°, most intense first:
2theta, I_rel
33.1, 100.0
32.2, 23.9
28.8, 23.9
61.7, 22.5
58.0, 20.3
51.1, 19.8
43.8, 15.5
62.3, 11.0
84.6, 9.4
89.3, 8.5
80.9, 7.9
62.3, 5.4

(3)
Starting from a cell relaxed with PBE, the powder X-ray diffraction pattern of Ho9ErTm2 was simulated for λ = 1.5418 Å (Cu Kα).
No peak broadening, texture or thermal motion is included.

a b c (Å): 11.0830 11.0830 3.4611
angles (deg): 90.00 90.00 120.00
Fractional positions:
Ho 0.0000 0.5000 0.0000
Ho 0.1766 0.3531 0.5000
Ho 0.1766 0.8234 0.5000
Ho 0.3531 0.1766 0.5000
Ho 0.5000 0.0000 0.0000
Ho 0.5000 0.5000 0.0000
Ho 0.6469 0.8234 0.5000
Ho 0.8234 0.1766 0.5000
Ho 0.8234 0.6469 0.5000
Er 0.0000 0.0000 0.0000
Tm 0.3333 0.6667 0.0000
Tm 0.6667 0.3333 0.0000

Most intense lines, 2θ from 15° to 90°, most intense first:
2theta, I_rel
32.3, 100.0
31.9, 52.5
63.4, 29.2
30.5, 26.9
57.3, 18.4
46.0, 18.0
57.6, 17.7
35.9, 17.6
38.3, 15.6
82.0, 13.0
51.0, 12.1
67.6, 10.5

(4)
Starting from a cell relaxed with PBE, the powder X-ray diffraction pattern of Ho4Er11Tm9 was simulated for λ = 1.5418 Å (Cu Kα).
No peak broadening, texture or thermal motion is included.

a b c (Å): 14.8512 14.8512 3.6031
angles (deg): 90.00 90.00 112.93
Fractional positions:
Ho 0.0541 0.2560 0.0000
Ho 0.2560 0.0541 0.0000
Ho 0.7440 0.9459 0.0000
Ho 0.9459 0.7440 0.0000
Er 0.0936 0.4559 0.5000
Er 0.1329 0.8671 0.5000
Er 0.2085 0.2085 0.5000
Er 0.3404 0.6596 0.5000
Er 0.4559 0.0936 0.5000
Er 0.5000 0.5000 0.5000
Er 0.5441 0.9064 0.5000
Er 0.6596 0.3404 0.5000
Er 0.7915 0.7915 0.5000
Er 0.8671 0.1329 0.5000
Er 0.9064 0.5441 0.5000
Tm 0.0000 0.0000 0.0000
Tm 0.1317 0.6643 0.0000
Tm 0.2862 0.4313 0.0000
Tm 0.3357 0.8683 0.0000
Tm 0.4313 0.2862 0.0000
Tm 0.5687 0.7138 0.0000
Tm 0.6643 0.1317 0.0000
Tm 0.7138 0.5687 0.0000
Tm 0.8683 0.3357 0.0000

Most intense lines, 2θ from 15° to 90°, most intense first:
2theta, I_rel
33.0, 100.0
30.7, 60.8
31.7, 15.5
60.5, 15.4
50.7, 12.5
62.1, 8.8
33.6, 8.3
29.3, 7.2
34.9, 7.2
31.2, 6.8
56.2, 6.8
83.9, 6.8

(5)
Starting from a cell relaxed with PBE, the powder X-ray diffraction pattern of Ho3Er2Tm was simulated for λ = 1.5418 Å (Cu Kα).
No peak broadening, texture or thermal motion is included.

a b c (Å): 9.2732 9.2732 6.0625
angles (deg): 90.02 90.02 44.39
Fractional positions:
Ho 0.1252 0.8748 0.7500
Ho 0.2086 0.4585 0.5829
Ho 0.4585 0.2086 0.0829
Ho 0.5415 0.7914 0.9171
Ho 0.7914 0.5415 0.4171
Ho 0.8748 0.1252 0.2500
Er 0.0415 0.2915 0.9167
Er 0.2915 0.0415 0.4167
Er 0.7085 0.9585 0.5833
Er 0.9585 0.7085 0.0833
Tm 0.3751 0.6249 0.2500
Tm 0.6249 0.3751 0.7500

Most intense lines, 2θ from 15° to 90°, most intense first:
2theta, I_rel
31.3, 100.0
36.3, 50.6
62.1, 42.6
52.2, 35.9
88.2, 14.1
65.2, 12.3
85.4, 12.0
85.5, 6.0
77.0, 5.7
88.3, 2.8

(6)
Starting from a cell relaxed with PBE, the powder X-ray diffraction pattern of Ho7ErTm3 was simulated for λ = 1.5418 Å (Cu Kα).
No peak broadening, texture or thermal motion is included.

a b c (Å): 6.8914 5.4519 9.7802
angles (deg): 90.00 110.41 90.00
Fractional positions:
Ho 0.0000 0.0000 0.0000
Ho 0.1463 0.5000 0.2913
Ho 0.3212 0.5000 0.6412
Ho 0.4174 0.0000 0.8308
Ho 0.5826 0.0000 0.1692
Ho 0.6788 0.5000 0.3588
Ho 0.8537 0.5000 0.7087
Er 0.0000 0.0000 0.5000
Tm 0.2789 0.5000 0.9992
Tm 0.5000 0.0000 0.5000
Tm 0.7211 0.5000 0.0008

Most intense lines, 2θ from 15° to 90°, most intense first:
2theta, I_rel
32.2, 100.0
33.6, 55.2
32.9, 52.8
32.3, 52.7
46.9, 24.3
58.2, 19.3
32.6, 16.8
32.4, 16.7
53.2, 16.1
59.2, 14.4
63.9, 14.2
25.4, 12.9